The following is a calculated XRD peak list of Li2Fe3O3F5. It was derived from the GGA+U geometry in Alexandria, using Cu Ka.
Lines closer than 0.1° are merged.

Principal peaks in the range 10° ≤ 2θ ≤ 90°, in order of falling intensity:
hkl 1 1 0, 2θ = 18.26°, intensity 1000; hkl 2 0 0, 2θ = 20.93°, intensity 779; hkl 2 2 -2, 2θ = 42.56°, intensity 608; hkl 3 1 -2, 2θ = 34.81°, intensity 516; hkl 1 1 -2, 2θ = 34.65°, intensity 413; hkl 3 1 0, 2θ = 35.16°, intensity 412; hkl 0 2 0, 2θ = 30.15°, intensity 390; hkl 5 1 0, 2θ = 56.44°, intensity 308; hkl 2 2 2, 2θ = 61.58°, intensity 252; hkl 6 2 -2, 2θ = 62.00°, intensity 247

Atomic structure:
```
data_Li2Fe3O3F5
_space_group_name_H-M_alt 'C 1 m 1'
_space_group_IT_number 8
_cell_length_a 10.4067
_cell_length_b 5.9286
_cell_length_c 6.1000
_cell_angle_alpha 90.00
_cell_angle_beta 125.39
_cell_angle_gamma 90.00
loop_
_space_group_symop_operation_xyz
'x,y,z'
'x,-y,z'
'x+1/2,y+1/2,z'
'x+1/2,-y+1/2,z'
loop_
_atom_site_label
_atom_site_type_symbol
_atom_site_fract_x
_atom_site_fract_y
_atom_site_fract_z
_atom_site_occupancy
Li1 Li 0.0000 0.2415 0.0000 1
Fe1 Fe 0.2389 0.5000 0.0021 1
Fe2 Fe 0.2580 0.5000 0.5025 1
Fe3 Fe 0.3730 0.0000 0.4052 1
O1 O 0.0093 0.5000 0.7760 1
O2 O 0.2463 0.2699 0.2577 1
F1 F 0.0066 0.5000 0.2687 1
F2 F 0.2508 0.2820 0.7501 1
F3 F 0.4671 0.5000 0.1892 1
F4 F 0.4813 0.5000 0.7611 1
```